Computed X-ray diffraction stick pattern of Li10FeNi9O20 for Cu Kα X-rays, from a cell relaxed with GGA+U.

```
data_Li10FeNi9O20
_chemical_formula_sum 'Li10 Fe1 Ni9 O20'
_cell_length_a 6.461
_cell_length_b 7.685
_cell_length_c 7.706
_cell_angle_alpha 65.35
_cell_angle_beta 89.39
_cell_angle_gamma 89.58
_space_group_name_H-M_alt 'P -1'
_space_group_IT_number 2
_space_group_name_Hall '-P 1'
loop_
_atom_site_label
_atom_site_type_symbol
_atom_site_fract_x
_atom_site_fract_y
_atom_site_fract_z
Li1 Li 0.000 0.000 0.000
Li2 Li 0.100 0.406 0.898
Li3 Li 0.200 0.799 0.801
Li4 Li 0.300 0.207 0.702
Li5 Li 0.397 0.599 0.597
Li6 Li 0.500 0.000 0.500
Fe1 Fe 0.500 0.500 0.000
Ni1 Ni 0.000 0.500 0.500
Ni2 Ni 0.101 0.899 0.402
Ni3 Ni 0.199 0.299 0.300
Ni4 Ni 0.302 0.699 0.204
Ni5 Ni 0.399 0.099 0.099
O1 O 0.010 0.757 0.266
O2 O 0.095 0.667 0.626
O3 O 0.114 0.127 0.169
O4 O 0.175 0.042 0.544
O5 O 0.217 0.546 0.048
O6 O 0.277 0.452 0.449
O7 O 0.322 0.953 0.961
O8 O 0.380 0.856 0.356
O9 O 0.405 0.360 0.857
O10 O 0.492 0.255 0.223
```

Most intense lines, 10 to 90 degrees two-theta, low angle first:
18.6°, intensity 100, hkl 1 0 1; 36.0°, intensity 16, hkl 1 2 -1; 36.4°, intensity 14, hkl 0 3 2; 36.6°, intensity 14, hkl -2 1 2; 38.0°, intensity 11, hkl -1 1 3; 43.6°, intensity 25, hkl 0 2 -2; 44.1°, intensity 24, hkl 1 3 3; 44.5°, intensity 23, hkl -3 1 1; 48.3°, intensity 10, hkl 2 -3 0; 64.1°, intensity 13, hkl 3 1 -3


Computed X-ray diffraction stick pattern of LiFeNiO4 for Cu Kα X-rays, from a cell relaxed with GGA+U.

```
data_LiFeNiO4
_chemical_formula_sum 'Li4 Fe4 Ni4 O16'
_cell_length_a 5.837
_cell_length_b 5.874
_cell_length_c 8.479
_cell_angle_alpha 90.00
_cell_angle_beta 90.00
_cell_angle_gamma 90.00
_space_group_name_H-M_alt 'I m m a'
_space_group_IT_number 74
_space_group_name_Hall '-I 2b 2'
loop_
_atom_site_label
_atom_site_type_symbol
_atom_site_fract_x
_atom_site_fract_y
_atom_site_fract_z
Li1 Li 0.000 0.000 0.000
Fe1 Fe 0.250 0.250 0.250
Ni1 Ni 0.000 0.000 0.500
O1 O 0.000 0.032 0.250
O2 O 0.240 0.250 0.473
```

Most intense lines, 10 to 90 degrees two-theta, low angle first:
18.4°, intensity 100, hkl 0 1 1; 35.3°, intensity 13, hkl 1 0 3; 35.8°, intensity 13, hkl 1 2 1; 36.0°, intensity 13, hkl 2 1 1; 37.2°, intensity 8, hkl 0 2 2; 37.4°, intensity 8, hkl 2 0 2; 42.7°, intensity 20, hkl 0 0 4; 43.7°, intensity 39, hkl 2 2 0; 47.3°, intensity 6, hkl 1 2 3; 62.7°, intensity 21, hkl 2 2 4


- Number 1 is which compound?
  Li10FeNi9O20